# VFeP2O8
Computed X-ray powder pattern, Cu Ka. Input: a crystal structure in Alexandria, relaxed with GGA+U.

Top 8 peaks for 2θ = 15–90°, by angle:
2θ/deg, Rel. int.
17.65, 100
20.06, 62
20.19, 73
25.14, 58
25.25, 67
30.28, 100
35.72, 72
35.96, 65

Structural model:
Lattice parameters (Å, degrees): 4.9116 5.9028 10.0503 90.00 90.48 90.00
Atoms (fractional coordinates):
V1 0.0227 0.2500 0.2294
V2 0.9773 0.7500 0.7706
Fe1 0.4652 0.2500 0.7259
Fe2 0.5348 0.7500 0.2741
P1 0.0896 0.7500 0.0997
P2 0.4129 0.7500 0.5946
P3 0.5871 0.2500 0.4054
P4 0.9104 0.2500 0.9003
O1 0.1401 0.7500 0.9502
O2 0.2160 0.2500 0.8734
O3 0.2398 0.5468 0.1717
O4 0.2398 0.9532 0.1717
O5 0.2646 0.5471 0.6682
O6 0.2646 0.9529 0.6682
O7 0.2823 0.2500 0.3791
O8 0.3501 0.7500 0.4459
O9 0.6499 0.2500 0.5541
O10 0.7177 0.7500 0.6209
O11 0.7354 0.0471 0.3318
O12 0.7354 0.4529 0.3318
O13 0.7602 0.0468 0.8283
O14 0.7602 0.4532 0.8283
O15 0.7840 0.7500 0.1266
O16 0.8599 0.2500 0.0498